Entry 1:
The following is a calculated powder diffractogram of RbVPO5. It was derived from a DFT-relaxed cell (PBE+U, the Materials Project), using λ = 1.5418 Å (Cu Kα).

Peak list (10 most intense, 10 to 80 degrees two-theta, in order of rising 2θ)
2θ 22.17, I 29.1; 2θ 23.65, I 20.3; 2θ 24.53, I 43.3; 2θ 25.52, I 39.1; 2θ 26.33, I 43.1; 2θ 27.62, I 100.0; 2θ 30.62, I 20.7; 2θ 33.60, I 29.2; 2θ 42.43, I 27.3; 2θ 45.60, I 21.6

Structure:
```
data_RbVPO5
_symmetry_space_group_name_H-M 'P 21 21 21'
_symmetry_Int_Tables_number 19
_cell_length_a 7.7520
_cell_length_b 8.0206
_cell_length_c 8.5208
_cell_angle_alpha 90.00
_cell_angle_beta 90.00
_cell_angle_gamma 90.00
loop_
_symmetry_equiv_pos_as_xyz
'x,y,z'
'-x+1/2,-y,z+1/2'
'x+1/2,-y+1/2,-z'
'-x,y+1/2,-z+1/2'
loop_
_atom_site_label
_atom_site_type_symbol
_atom_site_fract_x
_atom_site_fract_y
_atom_site_fract_z
Rb1 Rb 0.1203 0.0463 0.2702
V1 V 0.1128 0.4642 0.6227
P1 P 0.1246 0.3209 0.9027
O1 O 0.0195 0.9307 0.6755
O2 O 0.0623 0.1419 0.9332
O3 O 0.0691 0.3302 0.4832
O4 O 0.1871 0.3935 0.0614
O5 O 0.2323 0.6671 0.2734
```



Entry 2:
The following is a calculated powder diffractogram of RbVP2O8. It was derived from a DFT-relaxed cell (PBE+U, the Materials Project), using λ = 1.5418 Å (Cu Kα).

Peak list (10 most intense, 10 to 80 degrees two-theta, in order of rising 2θ)
2θ 24.00, I 20.2; 2θ 24.24, I 36.2; 2θ 26.33, I 39.0; 2θ 26.57, I 22.1; 2θ 27.31, I 20.2; 2θ 29.12, I 100.0; 2θ 29.89, I 70.7; 2θ 31.82, I 25.9; 2θ 35.12, I 39.9; 2θ 47.09, I 23.4

Structure:
```
data_RbVP2O8
_symmetry_space_group_name_H-M 'P 1 21/c 1'
_symmetry_Int_Tables_number 14
_cell_length_a 5.1176
_cell_length_b 8.7468
_cell_length_c 14.7059
_cell_angle_alpha 90.00
_cell_angle_beta 93.03
_cell_angle_gamma 90.00
loop_
_symmetry_equiv_pos_as_xyz
'x,y,z'
'-x,-y,-z'
'-x,y+1/2,-z+1/2'
'x,-y+1/2,z+1/2'
loop_
_atom_site_label
_atom_site_type_symbol
_atom_site_fract_x
_atom_site_fract_y
_atom_site_fract_z
Rb1 Rb 0.2378 0.0216 0.4023
V1 V 0.2445 0.5336 0.3495
P1 P 0.2343 0.6681 0.5601
P2 P 0.2696 0.2377 0.6788
O1 O 0.0354 0.1066 0.9113
O2 O 0.0551 0.1390 0.2006
O3 O 0.2403 0.1032 0.7487
O4 O 0.2409 0.6555 0.4536
O5 O 0.2452 0.1774 0.5836
O6 O 0.2727 0.6693 0.0876
O7 O 0.4478 0.5576 0.6020
O8 O 0.4598 0.6852 0.2947
```



Entry 3:
The following is a calculated powder diffractogram of RbVP2O8. It was derived from a DFT-relaxed cell (PBE+U, the Materials Project), using λ = 1.5418 Å (Cu Kα).

Peak list (10 most intense, 10 to 80 degrees two-theta, in order of rising 2θ)
2θ 19.86, I 36.4; 2θ 23.79, I 70.0; 2θ 26.94, I 19.9; 2θ 29.04, I 64.9; 2θ 29.89, I 100.0; 2θ 30.32, I 57.2; 2θ 32.52, I 22.3; 2θ 33.20, I 35.3; 2θ 40.48, I 32.6; 2θ 46.34, I 19.6

Structure:
```
data_RbVP2O8
_symmetry_space_group_name_H-M 'P -1'
_symmetry_Int_Tables_number 2
_cell_length_a 7.4895
_cell_length_b 8.7772
_cell_length_c 9.4229
_cell_angle_alpha 64.46
_cell_angle_beta 68.06
_cell_angle_gamma 67.31
loop_
_symmetry_equiv_pos_as_xyz
'x,y,z'
'-x,-y,-z'
loop_
_atom_site_label
_atom_site_type_symbol
_atom_site_fract_x
_atom_site_fract_y
_atom_site_fract_z
Rb1 Rb 0.0000 0.0000 0.0000
Rb2 Rb 0.1382 0.1595 0.5310
V1 V 0.2986 0.2881 0.0627
V2 V 0.5000 0.5000 0.5000
P1 P 0.0606 0.4338 0.7800
P2 P 0.3980 0.6669 0.7759
P3 P 0.4540 0.8774 0.2291
O1 O 0.0472 0.6492 0.2585
O2 O 0.0688 0.3803 0.2082
O3 O 0.1215 0.3202 0.9444
O4 O 0.2226 0.8169 0.7335
O5 O 0.2547 0.4732 0.6419
O6 O 0.2777 0.0527 0.2049
O7 O 0.3353 0.5097 0.9257
O8 O 0.3627 0.7355 0.3828
O9 O 0.3670 0.0992 0.7567
O10 O 0.4606 0.2763 0.1792
O11 O 0.4634 0.4062 0.3661
O12 O 0.4910 0.8177 0.0818
```



Entry 4:
The following is a calculated powder diffractogram of RbVP2O8. It was derived from a DFT-relaxed cell (PBE+U, the Materials Project), using λ = 1.5418 Å (Cu Kα).

Peak list (10 most intense, 10 to 80 degrees two-theta, in order of rising 2θ)
2θ 10.55, I 50.3; 2θ 18.61, I 72.9; 2θ 24.05, I 80.6; 2θ 25.13, I 100.0; 2θ 27.06, I 94.5; 2θ 27.36, I 90.0; 2θ 27.61, I 75.4; 2θ 27.75, I 53.9; 2θ 29.31, I 52.3; 2θ 29.73, I 59.3

Structure:
```
data_RbVP2O8
_symmetry_space_group_name_H-M 'P 1 21/c 1'
_symmetry_Int_Tables_number 14
_cell_length_a 4.7614
_cell_length_b 9.1634
_cell_length_c 16.7961
_cell_angle_alpha 90.00
_cell_angle_beta 93.03
_cell_angle_gamma 90.00
loop_
_symmetry_equiv_pos_as_xyz
'x,y,z'
'-x,-y,-z'
'-x,y+1/2,-z+1/2'
'x,-y+1/2,z+1/2'
loop_
_atom_site_label
_atom_site_type_symbol
_atom_site_fract_x
_atom_site_fract_y
_atom_site_fract_z
Rb1 Rb 0.1087 0.1470 0.4144
V1 V 0.0944 0.0680 0.1633
P1 P 0.3582 0.1085 0.7436
P2 P 0.4216 0.7195 0.9014
O1 O 0.0513 0.0395 0.9029
O2 O 0.1096 0.5010 0.2454
O3 O 0.1640 0.7260 0.3496
O4 O 0.2852 0.2328 0.2559
O5 O 0.3433 0.1640 0.0922
O6 O 0.3537 0.6534 0.9792
O7 O 0.3977 0.5596 0.6991
O8 O 0.4564 0.0867 0.6529
```



Entry 5:
The following is a calculated powder diffractogram of RbVP2O7. It was derived from a DFT-relaxed cell (PBE+U, the Materials Project), using λ = 1.5418 Å (Cu Kα).

Peak list (10 most intense, 10 to 80 degrees two-theta, in order of rising 2θ)
2θ 22.00, I 28.1; 2θ 23.67, I 26.4; 2θ 25.38, I 35.3; 2θ 28.14, I 31.4; 2θ 28.40, I 25.5; 2θ 28.85, I 46.0; 2θ 29.31, I 100.0; 2θ 29.47, I 76.6; 2θ 41.84, I 18.5; 2θ 57.77, I 19.7

Structure:
```
data_RbVP2O7
_symmetry_space_group_name_H-M 'P 1 21/c 1'
_symmetry_Int_Tables_number 14
_cell_length_a 7.6545
_cell_length_b 10.2319
_cell_length_c 8.4052
_cell_angle_alpha 90.00
_cell_angle_beta 105.94
_cell_angle_gamma 90.00
loop_
_symmetry_equiv_pos_as_xyz
'x,y,z'
'-x,-y,-z'
'-x,y+1/2,-z+1/2'
'x,-y+1/2,z+1/2'
loop_
_atom_site_label
_atom_site_type_symbol
_atom_site_fract_x
_atom_site_fract_y
_atom_site_fract_z
Rb1 Rb 0.1875 0.1846 0.0523
V1 V 0.2385 0.6015 0.2593
P1 P 0.1319 0.5972 0.8298
P2 P 0.4351 0.6323 0.6875
O1 O 0.0064 0.0018 0.7746
O2 O 0.0870 0.7370 0.7613
O3 O 0.1517 0.5886 0.0134
O4 O 0.3255 0.6034 0.5101
O5 O 0.3274 0.5559 0.8037
O6 O 0.3741 0.0730 0.7663
O7 O 0.4470 0.7233 0.2379
```